Structure and computed X-ray powder pattern of Sr3Al2 (a crystal structure in Alexandria, relaxed with PBE; Cu Kα (λ = 1.5418 Å)).

Main lines, in order of rising 2θ (10° ≤ 2θ ≤ 90°):
index  Position (°2θ)  d_spacing  intensity
0 2 1  20.82  4.267  21
1 3 0  25.15  3.541  68
1 1 1  27.10  3.291  100
0 4 1  27.82  3.207  73
1 3 1  31.05  2.880  23
0 6 0  31.89  2.806  21
0 0 2  36.30  2.475  28
1 5 1  37.85  2.377  21
2 0 0  39.48  2.282  22
1 3 2  44.67  2.029  29
1 7 1  46.45  1.955  22
2 4 1  49.02  1.858  42

Crystal structure
a = 4.5646 Å, b = 16.8364 Å, c = 4.9501 Å
α = 90.00°, β = 90.00°, γ = 90.00°
Space group Cmmm (No. 65)
Inequivalent atoms, fractional coordinates:
Sr: 0.0000 0.0000 0.0000 x2
Sr: 0.0000 0.3491 0.5000 x4
Al: 0.0000 0.2090 0.0000 x4

Structure and computed X-ray powder pattern of SrAl (a crystal structure in Alexandria, relaxed with PBE; Cu Kα (λ = 1.5418 Å)).

Main lines, in order of rising 2θ (10° ≤ 2θ ≤ 90°):
index  Position (°2θ)  d_spacing  intensity
0 0 1  18.17  4.882  13
1 1 0  23.14  3.843  33
4 0 -1  29.60  3.018  40
1 1 1  31.85  2.810  100
2 0 -2  32.77  2.732  27
4 0 0  33.00  2.715  14
3 1 -2  40.51  2.227  15
0 2 0  44.08  2.054  12
5 1 0  47.35  1.920  16
4 2 -1  53.99  1.698  14
1 1 -3  57.92  1.592  18
7 1 -2  58.78  1.571  17

Crystal structure
a = 12.1483 Å, b = 4.1090 Å, c = 5.4650 Å
α = 90.00°, β = 116.65°, γ = 90.00°
Space group C2/m (No. 12)
Inequivalent atoms, fractional coordinates:
Sr: 0.1011 0.0000 0.3511 x4
Al: 0.1729 0.5000 0.9226 x4

Structure and computed X-ray powder pattern of SrAl2 (a crystal structure in Alexandria, relaxed with PBE; Cu Kα (λ = 1.5418 Å)).

Main lines, in order of rising 2θ (10° ≤ 2θ ≤ 90°):
index  Position (°2θ)  d_spacing  intensity
2 0 1  25.77  3.457  100
2 0 -2  26.23  3.398  36
3 1 -1  29.83  2.996  25
4 0 -2  30.18  2.961  25
3 1 0  31.52  2.839  85
1 1 -2  35.43  2.534  56
2 0 2  39.96  2.256  19
5 1 -2  41.45  2.178  30
0 2 0  45.28  2.003  19
5 1 1  52.67  1.738  28
2 2 1  52.81  1.733  18
7 1 -4  63.85  1.458  17

Crystal structure
a = 13.8477 Å, b = 4.0055 Å, c = 6.7962 Å
α = 90.00°, β = 119.36°, γ = 90.00°
Space group C2/m (No. 12)
Inequivalent atoms, fractional coordinates:
Sr: 0.1708 0.0000 0.1705 x4
Al: 0.9999 0.5000 0.2950 x4
Al: 0.1098 0.0000 0.6093 x4

Structure and computed X-ray powder pattern of SrTa2TiAl (a crystal structure in Alexandria, relaxed with PBE; Cu Kα (λ = 1.5418 Å)).

Main lines, in order of rising 2θ (10° ≤ 2θ ≤ 90°):
index  Position (°2θ)  d_spacing  intensity
0 0 1  16.93  5.238  51
1 1 0  26.25  3.396  16
1 1 1  31.40  2.849  100
0 0 2  34.24  2.619  30
2 0 0  37.46  2.401  47
2 0 1  41.37  2.183  22
2 0 2  51.65  1.770  37
2 2 0  54.01  1.698  16
1 1 3  59.54  1.553  17
3 1 1  63.82  1.458  27
2 2 2  65.52  1.425  18
3 1 3  84.57  1.146  13

Crystal structure
a = 4.8021 Å, b = 4.8021 Å, c = 5.2378 Å
α = 90.00°, β = 90.00°, γ = 90.00°
Space group P4/mmm (No. 123)
Inequivalent atoms, fractional coordinates:
Sr: 0.0000 0.0000 0.0000 x1
Ta: 0.0000 0.5000 0.5000 x2
Ti: 0.5000 0.5000 0.5000 x1
Al: 0.5000 0.5000 0.0000 x1

Structure and computed X-ray powder pattern of Sr2Al2Tc (a crystal structure in Alexandria, relaxed with PBE; Cu Kα (λ = 1.5418 Å)).

Main lines, in order of rising 2θ (10° ≤ 2θ ≤ 90°):
index  Position (°2θ)  d_spacing  intensity
1 1 1  24.62  3.617  56
2 1 0  28.88  3.091  18
2 0 1  30.75  2.907  78
0 0 2  33.33  2.688  49
2 1 1  33.44  2.680  100
2 2 0  36.78  2.444  21
3 1 0  41.30  2.186  42
2 2 2  50.47  1.808  17
3 1 2  54.07  1.696  38
4 1 1  57.59  1.600  25
3 3 1  59.26  1.559  17
2 1 3  59.63  1.550  18

Crystal structure
a = 6.9123 Å, b = 6.9123 Å, c = 5.3764 Å
α = 90.00°, β = 90.00°, γ = 90.00°
Space group P4/mbm (No. 127)
Inequivalent atoms, fractional coordinates:
Sr: 0.1770 0.3230 0.0000 x4
Al: 0.1560 0.6560 0.5000 x4
Tc: 0.0000 0.0000 0.5000 x2

Structure and computed X-ray powder pattern of SrAl3Tc (a crystal structure in Alexandria, relaxed with PBE; Cu Kα (λ = 1.5418 Å)).

Main lines, in order of rising 2θ (10° ≤ 2θ ≤ 90°):
index  Position (°2θ)  d_spacing  intensity
1 1 0  15.15  5.849  32
2 0 1  22.53  3.947  29
1 1 1  23.11  3.849  93
0 2 0  26.97  3.306  66
4 0 0  28.47  3.135  34
3 1 -1  30.50  2.931  100
1 1 -2  38.10  2.362  53
5 1 0  38.39  2.345  30
4 2 0  39.62  2.275  89
3 1 2  43.81  2.067  48
1 3 1  45.39  1.998  24
3 3 2  59.72  1.548  25

Crystal structure
a = 12.5412 Å, b = 6.6120 Å, c = 5.1461 Å
α = 90.00°, β = 90.91°, γ = 90.00°
Space group C2/m (No. 12)
Inequivalent atoms, fractional coordinates:
Sr: 0.1509 0.0000 0.0020 x4
Al: 0.0000 0.2006 0.5000 x4
Al: 0.0864 0.5000 0.8591 x4
Al: 0.2500 0.2500 0.5000 x4
Tc: 0.1135 0.5000 0.3617 x4

Structure and computed X-ray powder pattern of SrAl3Tc (a crystal structure in Alexandria, relaxed with PBE; Cu Kα (λ = 1.5418 Å)).

Main lines, in order of rising 2θ (10° ≤ 2θ ≤ 90°):
index  Position (°2θ)  d_spacing  intensity
0 0 2  17.16  5.168  23
0 0 3  25.86  3.445  28
1 0 2  26.13  3.411  54
1 1 0  27.79  3.210  69
1 1 2  32.85  2.727  21
1 1 3  38.32  2.349  100
2 0 0  39.71  2.270  72
2 0 3  48.00  1.895  20
2 1 2  48.16  1.890  20
1 1 5  52.66  1.738  25
2 2 0  57.41  1.605  24
3 1 3  71.15  1.325  31

Crystal structure
a = 4.5396 Å, b = 4.5396 Å, c = 10.3362 Å
α = 90.00°, β = 90.00°, γ = 90.00°
Space group P4/nmm (No. 129, origin choice 2)
Inequivalent atoms, fractional coordinates:
Sr: 0.2500 0.2500 0.1232 x2
Al: 0.2500 0.2500 0.7809 x2
Al: 0.2500 0.7500 0.3720 x4
Tc: 0.2500 0.2500 0.5129 x2

Structure and computed X-ray powder pattern of SrAl3Tc (a crystal structure in Alexandria, relaxed with PBE; Cu Kα (λ = 1.5418 Å)).

Main lines, in order of rising 2θ (10° ≤ 2θ ≤ 90°):
index  Position (°2θ)  d_spacing  intensity
1 0 1  22.35  3.977  15
1 1 1  26.00  3.427  100
2 0 0  26.41  3.375  60
2 0 1  32.16  2.783  20
0 0 2  36.51  2.461  14
2 2 0  37.70  2.386  65
1 0 2  38.95  2.312  25
3 1 1  46.37  1.958  41
2 1 2  47.68  1.908  28
2 2 2  53.48  1.713  18
4 0 0  54.37  1.687  22
3 2 2  62.32  1.490  12

Crystal structure
a = 6.7493 Å, b = 6.7493 Å, c = 4.9227 Å
α = 90.00°, β = 90.00°, γ = 90.00°
Space group P4/nmm (No. 129, origin choice 2)
Inequivalent atoms, fractional coordinates:
Sr: 0.2500 0.7500 0.0000 x2
Al: 0.0000 0.0000 0.5000 x4
Al: 0.2500 0.2500 0.1051 x2
Tc: 0.2500 0.2500 0.6088 x2

Structure and computed X-ray powder pattern of SrAl2Te (a crystal structure in Alexandria, relaxed with PBE; Cu Kα (λ = 1.5418 Å)).

Main lines, in order of rising 2θ (10° ≤ 2θ ≤ 90°):
index  Position (°2θ)  d_spacing  intensity
0 2 0  14.96  5.921  100
0 0 1  28.34  3.150  65
2 0 -1  28.46  3.136  22
0 4 0  30.19  2.960  57
0 2 1  32.19  2.781  33
2 2 -1  32.30  2.772  92
0 4 1  41.90  2.156  60
2 2 0  43.43  2.084  40
2 2 -2  43.56  2.078  40
2 6 -1  54.95  1.671  27
2 6 0  62.99  1.476  26
2 2 -3  68.63  1.368  14

Crystal structure
a = 6.2730 Å, b = 11.8419 Å, c = 4.4378 Å
α = 90.00°, β = 134.79°, γ = 90.00°
Space group C2/m (No. 12)
Inequivalent atoms, fractional coordinates:
Sr: 0.0000 0.0000 0.0000 x2
Al: 0.2500 0.2500 0.0000 x4
Te: 0.0000 0.5000 0.0000 x2

Structure and computed X-ray powder pattern of SrAl2Tl (a crystal structure in Alexandria, relaxed with PBE; Cu Kα (λ = 1.5418 Å)).

Main lines, in order of rising 2θ (10° ≤ 2θ ≤ 90°):
index  Position (°2θ)  d_spacing  intensity
0 0 2  18.43  4.815  46
0 1 1  21.12  4.207  31
1 1 0  26.96  3.307  38
1 1 2  32.85  2.726  100
0 0 4  37.35  2.407  18
0 2 0  38.44  2.342  16
2 0 0  38.56  2.335  16
1 1 4  46.67  1.946  18
2 0 4  54.72  1.677  23
1 1 6  64.54  1.444  14
1 3 2  66.00  1.415  13
3 1 2  66.17  1.412  13

Crystal structure
a = 4.6702 Å, b = 4.6842 Å, c = 9.6295 Å
α = 90.00°, β = 90.00°, γ = 90.00°
Space group Immm (No. 71)
Inequivalent atoms, fractional coordinates:
Sr: 0.0000 0.0000 0.0000 x2
Al: 0.0000 0.5000 0.2496 x4
Tl: 0.0000 0.0000 0.5000 x2

Structure and computed X-ray powder pattern of SrTm2Al9 (a crystal structure in Alexandria, relaxed with PBE; Cu Kα (λ = 1.5418 Å)).

Main lines, in order of rising 2θ (10° ≤ 2θ ≤ 90°):
index  Position (°2θ)  d_spacing  intensity
0 0 3  10.03  8.815  74
1 0 1  18.54  4.786  62
1 0 4  22.69  3.919  34
1 0 7  29.94  2.984  85
1 1 0  31.85  2.810  90
0 1 8  32.75  2.734  46
1 1 3  33.48  2.677  26
0 2 1  37.11  2.423  43
1 1 6  37.98  2.369  100
2 1 7  55.57  1.654  32
0 3 6  60.85  1.522  25
2 0 14  62.19  1.493  31

Crystal structure
a = 5.6191 Å, b = 5.6191 Å, c = 26.4437 Å
α = 90.00°, β = 90.00°, γ = 120.00°
Space group R-3m (No. 166, hexagonal axes)
Inequivalent atoms, fractional coordinates:
Sr: 0.0000 0.0000 0.0000 x3
Tm: 0.0000 0.0000 0.1424 x6
Al: 0.0000 0.0000 0.3357 x6
Al: 0.0000 0.0000 0.5000 x3
Al: 0.0078 0.5039 0.9146 x18

Structure and computed X-ray powder pattern of SrYAl2 (a crystal structure in Alexandria, relaxed with PBE; Cu Kα (λ = 1.5418 Å)).

Main lines, in order of rising 2θ (10° ≤ 2θ ≤ 90°):
index  Position (°2θ)  d_spacing  intensity
0 0 2  23.46  3.791  20
1 0 0  23.67  3.760  36
1 0 2  33.57  2.670  100
1 1 0  33.71  2.658  52
1 1 2  41.49  2.177  18
2 0 0  48.42  1.880  18
1 0 4  54.19  1.693  10
2 0 2  54.53  1.683  15
1 1 4  59.93  1.543  16
2 1 2  60.21  1.537  36
2 0 4  70.56  1.335  10
3 1 0  80.81  1.189  16

Crystal structure
a = 3.7596 Å, b = 3.7596 Å, c = 7.5825 Å
α = 90.00°, β = 90.00°, γ = 90.00°
Space group P4/mmm (No. 123)
Inequivalent atoms, fractional coordinates:
Sr: 0.0000 0.0000 0.0000 x1
Y: 0.0000 0.0000 0.5000 x1
Al: 0.5000 0.5000 0.2856 x2

Question: Which formula does entry 1 have?
Answer: Sr3Al2